(1)
Diffraction record for BaTa2TiS8. The powder XRD pattern is simulated, not measured: it uses a structure optimized by DFT (GGA-PBE) and Cu Kα X-rays.

Atomic structure:
Cell: 9.4692 9.4692 9.4692 Å, 38.71 38.71 38.71°
Positions (direct):
Ba1 0.0000 0.0000 0.0000
Ta1 0.2424 0.2424 0.2424
Ta2 0.7576 0.7576 0.7576
Ti1 0.5000 0.5000 0.5000
S1 0.1396 0.4243 0.7705
S2 0.2295 0.8604 0.5757
S3 0.3273 0.3273 0.3273
S4 0.4243 0.7705 0.1396
S5 0.5757 0.2295 0.8604
S6 0.6727 0.6727 0.6727
S7 0.7705 0.1396 0.4243
S8 0.8604 0.5757 0.2295

The 10 most intense peaks (2θ = 10–80°), sorted by position:
| two_theta | d_spacing | I_rel |
| --- | --- | --- |
| 17.7 | 5.022 | 23 |
| 21.2 | 4.186 | 100 |
| 28.4 | 3.138 | 51 |
| 30.3 | 2.954 | 15 |
| 31.9 | 2.809 | 31 |
| 35.8 | 2.511 | 30 |
| 46.3 | 1.961 | 27 |
| 50.4 | 1.812 | 24 |
| 50.9 | 1.794 | 30 |
| 52.6 | 1.741 | 16 |

=====

(2)
Diffraction record for YTm3Sb2C. The powder XRD pattern is simulated, not measured: it uses a structure optimized by DFT (GGA-PBE) and Cu Kα X-rays.

Atomic structure:
Cell: 8.4621 8.4621 8.4621 Å, 147.59 147.16 46.81°
Positions (direct):
Y1 0.0000 0.0000 0.0000
Tm1 0.3441 0.8441 0.5000
Tm2 0.5000 0.5000 0.0000
Tm3 0.6559 0.1559 0.5000
Sb1 0.1436 0.6437 0.5000
Sb2 0.8564 0.3564 0.5000
C1 0.5000 0.0000 0.5000

The 10 most intense peaks (2θ = 10–80°), sorted by position:
| two_theta | d_spacing | I_rel |
| --- | --- | --- |
| 26.5 | 3.361 | 23 |
| 28.9 | 3.085 | 64 |
| 34.7 | 2.589 | 29 |
| 35.3 | 2.541 | 100 |
| 37.6 | 2.392 | 31 |
| 38.1 | 2.362 | 29 |
| 52.1 | 1.757 | 18 |
| 52.4 | 1.745 | 18 |
| 54.6 | 1.681 | 21 |
| 66.3 | 1.409 | 53 |

=====

(3)
Diffraction record for NdCo9Si4. The powder XRD pattern is simulated, not measured: it uses a structure optimized by DFT (GGA-PBE) and Cu Kα X-rays.

Atomic structure:
Cell: 7.9262 7.9262 7.9262 Å, 121.55 121.55 87.34°
Positions (direct):
Nd1 0.2500 0.2500 0.0000
Nd2 0.7500 0.7500 0.0000
Co1 0.0000 0.5000 0.5000
Co2 0.0504 0.5504 0.2406
Co3 0.0701 0.8005 0.8706
Co4 0.1902 0.9496 0.5000
Co5 0.1995 0.0701 0.2696
Co6 0.3005 0.5701 0.8706
Co7 0.3098 0.8098 0.7594
Co8 0.4299 0.3005 0.7304
Co9 0.4496 0.6902 0.5000
Co10 0.5000 0.0000 0.5000
Co11 0.5504 0.3098 0.5000
Co12 0.5701 0.6995 0.2696
Co13 0.6902 0.1902 0.2406
Co14 0.6995 0.4299 0.1294
Co15 0.8005 0.9299 0.7304
Co16 0.8098 0.0504 0.5000
Co17 0.9299 0.1995 0.1294
Co18 0.9496 0.4496 0.7594
Si1 0.0472 0.2097 0.5000
Si2 0.2097 0.7097 0.1625
Si3 0.2903 0.4528 0.5000
Si4 0.4528 0.9528 0.1625
Si5 0.5472 0.0472 0.8375
Si6 0.7097 0.5472 0.5000
Si7 0.7903 0.2903 0.8375
Si8 0.9528 0.7903 0.5000

The 10 most intense peaks (2θ = 10–80°), sorted by position:
| two_theta | d_spacing | I_rel |
| --- | --- | --- |
| 31.2 | 2.867 | 16 |
| 35.3 | 2.539 | 21 |
| 36.4 | 2.470 | 21 |
| 36.7 | 2.448 | 16 |
| 39.1 | 2.304 | 24 |
| 40.1 | 2.251 | 100 |
| 47.6 | 1.912 | 39 |
| 48.6 | 1.872 | 32 |
| 49.2 | 1.853 | 19 |
| 52.9 | 1.731 | 13 |